No. 1
Pa2Ni9Ru: calculated X-ray powder pattern (Cu Kα, 1.54184 Å), based on a crystal structure in Alexandria, relaxed with GGA-PBE.

The 10 most intense peaks (10° ≤ 2θ ≤ 90°), in order of falling intensity:
d_spacing  two_theta  intensity
2.273  39.7  100.0
2.095  43.2  87.4
1.969  46.1  64.5
4.190  21.2  52.9
1.308  72.3  41.4
1.749  52.3  24.5
2.434  36.9  20.9
1.134  85.7  20.6
3.062  29.2  19.5
1.217  78.6  17.8

Cell and atoms:
a = 4.3674 Å, b = 4.3674 Å, c = 8.9712 Å
α = 90.00°, β = 90.00°, γ = 106.40°
Positions (direct):
Pa 0.0000 0.0000 0.1899
Pa 0.0000 0.0000 0.8101
Ni 0.0000 0.5000 0.0000
Ni 0.0000 0.5000 0.3534
Ni 0.0000 0.5000 0.6466
Ni 0.5000 0.0000 0.0000
Ni 0.5000 0.0000 0.3534
Ni 0.5000 0.0000 0.6466
Ni 0.5000 0.5000 0.1662
Ni 0.5000 0.5000 0.5000
Ni 0.5000 0.5000 0.8338
Ru 0.0000 0.0000 0.5000

---

No. 2
Pa2NiS5: calculated X-ray powder pattern (Cu Kα, 1.54184 Å), based on a crystal structure in Alexandria, relaxed with GGA-PBE.

The 10 most intense peaks (10° ≤ 2θ ≤ 90°), in order of falling intensity:
d_spacing  two_theta  intensity
4.059  21.9  100.0
3.195  27.9  97.4
3.087  28.9  72.8
2.706  33.1  57.9
2.568  34.9  56.5
5.209  17.0  48.3
3.834  23.2  46.8
2.135  42.3  46.7
3.583  24.9  39.2
2.267  39.8  39.1

Cell and atoms:
a = 3.9355 Å, b = 10.4170 Å, c = 8.3340 Å
α = 90.00°, β = 103.05°, γ = 90.00°
Positions (direct):
Pa 0.0034 0.1884 0.0130
Pa 0.0034 0.3116 0.5130
Pa 0.9966 0.6884 0.4870
Pa 0.9966 0.8116 0.9870
Ni 0.5000 0.0000 0.5000
Ni 0.5000 0.5000 0.0000
S 0.1091 0.1123 0.3270
S 0.1091 0.3877 0.8270
S 0.3976 0.6704 0.8349
S 0.3976 0.8296 0.3349
S 0.5000 0.0000 0.0000
S 0.5000 0.5000 0.5000
S 0.6024 0.1704 0.6651
S 0.6024 0.3296 0.1651
S 0.8909 0.6123 0.1730
S 0.8909 0.8877 0.6730

---

No. 3
Pa6Ni3S14: calculated X-ray powder pattern (Cu Kα, 1.54184 Å), based on a crystal structure in Alexandria, relaxed with GGA-PBE.

The 10 most intense peaks (10° ≤ 2θ ≤ 90°), in order of falling intensity:
d_spacing  two_theta  intensity
3.326  26.8  100.0
2.080  43.5  40.6
4.619  19.2  39.5
2.397  37.5  35.1
3.139  28.4  29.0
2.478  36.3  28.6
4.152  21.4  26.2
1.723  53.2  23.0
2.128  42.5  21.9
2.779  32.2  19.9

Cell and atoms:
a = 9.5887 Å, b = 9.5887 Å, c = 5.5574 Å
α = 90.00°, β = 90.00°, γ = 120.00°
Positions (direct):
Pa 0.0408 0.4851 0.0000
Pa 0.2905 0.1807 0.5011
Pa 0.4443 0.9592 0.0000
Pa 0.5149 0.5557 0.0000
Pa 0.8193 0.1099 0.5011
Pa 0.8901 0.7095 0.5011
Ni 0.0000 0.0000 0.1387
Ni 0.3333 0.6667 0.6376
Ni 0.6667 0.3333 0.4627
S 0.0000 0.0000 0.7372
S 0.1006 0.2519 0.2449
S 0.1513 0.8994 0.2449
S 0.1829 0.7681 0.7457
S 0.2319 0.4148 0.7457
S 0.3333 0.6667 0.2357
S 0.4134 0.2286 0.9868
S 0.5168 0.0771 0.4899
S 0.5603 0.4832 0.4899
S 0.5852 0.8171 0.7457
S 0.7481 0.8487 0.2449
S 0.7714 0.1847 0.9868
S 0.8153 0.5866 0.9868
S 0.9229 0.4397 0.4899

---

No. 4
SrPa2Ni2S6: calculated X-ray powder pattern (Cu Kα, 1.54184 Å), based on a crystal structure in Alexandria, relaxed with GGA-PBE.

The 10 most intense peaks (10° ≤ 2θ ≤ 90°), in order of falling intensity:
d_spacing  two_theta  intensity
3.640  24.5  100.0
4.067  21.9  55.9
6.304  14.0  51.0
2.452  36.6  47.9
1.775  51.5  44.2
2.101  43.0  42.5
2.712  33.0  34.6
2.175  41.5  32.5
2.034  44.6  30.6
1.271  74.7  20.2

Cell and atoms:
a = 7.2791 Å, b = 7.2791 Å, c = 5.3232 Å
α = 90.00°, β = 90.00°, γ = 120.00°
Positions (direct):
Sr 0.0000 0.0000 0.0000
Pa 0.3333 0.6667 0.3609
Pa 0.6667 0.3333 0.6391
Ni 0.3333 0.6667 0.9243
Ni 0.6667 0.3333 0.0757
S 0.0616 0.6789 0.7266
S 0.3211 0.3827 0.7266
S 0.3827 0.0616 0.2734
S 0.6173 0.9384 0.7266
S 0.6789 0.6173 0.2734
S 0.9384 0.3211 0.2734

---

No. 5
Pa2Ni3Sb: calculated X-ray powder pattern (Cu Kα, 1.54184 Å), based on a crystal structure in Alexandria, relaxed with GGA-PBE.

The 10 most intense peaks (10° ≤ 2θ ≤ 90°), in order of falling intensity:
d_spacing  two_theta  intensity
2.539  35.4  100.0
2.154  41.9  55.7
2.510  35.8  53.0
3.794  23.4  38.1
1.659  55.4  30.3
2.209  40.8  30.1
1.338  70.3  17.6
3.700  24.1  14.9
1.298  72.9  14.5
1.331  70.8  14.0

Cell and atoms:
a = 8.6188 Å, b = 8.1506 Å, c = 5.5859 Å
α = 75.14°, β = 66.07°, γ = 38.79°
Positions (direct):
Pa 0.2100 0.7900 0.7900
Pa 0.2500 0.2500 0.2500
Pa 0.7500 0.7500 0.7500
Pa 0.7900 0.2100 0.2100
Ni 0.1608 0.6705 0.3295
Ni 0.1658 0.1658 0.8342
Ni 0.3295 0.8392 0.1608
Ni 0.6705 0.1608 0.8392
Ni 0.8342 0.8342 0.1658
Ni 0.8392 0.3295 0.6705
Sb 0.3385 0.3385 0.6615
Sb 0.6615 0.6615 0.3385

---

No. 6
Pa2NiSb: calculated X-ray powder pattern (Cu Kα, 1.54184 Å), based on a crystal structure in Alexandria, relaxed with GGA-PBE.

The 10 most intense peaks (10° ≤ 2θ ≤ 90°), in order of falling intensity:
d_spacing  two_theta  intensity
2.800  32.0  100.0
2.725  32.9  83.4
3.155  28.3  42.8
2.330  38.6  36.2
2.701  33.2  28.8
1.910  47.6  28.4
2.506  35.8  24.0
2.258  39.9  22.9
2.400  37.5  22.2
2.205  40.9  21.2

Cell and atoms:
a = 6.1854 Å, b = 3.8200 Å, c = 8.1783 Å
α = 90.00°, β = 108.02°, γ = 90.00°
Positions (direct):
Pa 0.1458 0.2500 0.3834
Pa 0.2444 0.7500 0.0483
Pa 0.7556 0.2500 0.9517
Pa 0.8542 0.7500 0.6166
Ni 0.1638 0.2500 0.7921
Ni 0.8362 0.7500 0.2079
Sb 0.3928 0.7500 0.6951
Sb 0.6072 0.2500 0.3049

---

No. 7
PaNi2Sb: calculated X-ray powder pattern (Cu Kα, 1.54184 Å), based on a crystal structure in Alexandria, relaxed with GGA-PBE.

The 10 most intense peaks (10° ≤ 2θ ≤ 90°), in order of falling intensity:
d_spacing  two_theta  intensity
2.943  30.4  100.0
2.720  32.9  85.1
1.805  50.6  50.7
2.414  37.2  50.1
2.200  41.0  38.2
1.626  56.6  29.5
2.081  43.5  28.5
1.881  48.4  25.9
3.459  25.8  24.6
1.512  61.3  20.8

Cell and atoms:
a = 4.4007 Å, b = 4.2181 Å, c = 4.2181 Å
α = 69.82°, β = 90.00°, γ = 90.00°
Positions (direct):
Pa 0.0000 0.0000 0.0000
Ni 0.0000 0.4246 0.4246
Ni 0.5000 0.2509 0.2509
Sb 0.5000 0.6255 0.6255

---

No. 8
Pa2NiSb2: calculated X-ray powder pattern (Cu Kα, 1.54184 Å), based on a crystal structure in Alexandria, relaxed with GGA-PBE.

The 10 most intense peaks (10° ≤ 2θ ≤ 90°), in order of falling intensity:
d_spacing  two_theta  intensity
2.744  32.6  100.0
2.762  32.4  20.3
1.995  45.5  18.7
2.886  31.0  18.4
1.591  58.0  16.9
3.991  22.3  16.5
1.638  56.2  12.0
1.890  48.1  11.3
1.372  68.4  11.2
2.294  39.3  9.2

Cell and atoms:
a = 5.7720 Å, b = 11.0488 Å, c = 3.7797 Å
α = 90.00°, β = 90.00°, γ = 90.00°
Positions (direct):
Pa 0.2374 0.1201 0.0000
Pa 0.2626 0.6201 0.0000
Pa 0.7374 0.3799 0.0000
Pa 0.7626 0.8799 0.0000
Ni 0.0000 0.0000 0.5000
Ni 0.5000 0.5000 0.5000
Sb 0.1779 0.3531 0.5000
Sb 0.3221 0.8531 0.5000
Sb 0.6779 0.1469 0.5000
Sb 0.8221 0.6469 0.5000

---

No. 9
PaNi3Sb: calculated X-ray powder pattern (Cu Kα, 1.54184 Å), based on a crystal structure in Alexandria, relaxed with GGA-PBE.

The 10 most intense peaks (10° ≤ 2θ ≤ 90°), in order of falling intensity:
d_spacing  two_theta  intensity
2.550  35.2  100.0
3.101  28.8  35.5
2.686  33.4  27.6
2.019  44.9  26.0
2.317  38.9  25.7
2.239  40.3  22.7
1.703  53.8  17.3
1.800  50.7  16.6
1.522  60.9  14.0
1.246  76.4  14.0

Cell and atoms:
a = 12.2740 Å, b = 12.2740 Å, c = 3.6002 Å
α = 90.00°, β = 90.00°, γ = 161.06°
Positions (direct):
Pa 0.1837 0.8163 0.0000
Pa 0.8163 0.1837 0.0000
Ni 0.0488 0.9512 0.5000
Ni 0.2786 0.7214 0.5000
Ni 0.4540 0.5460 0.0000
Ni 0.5460 0.4540 0.0000
Ni 0.7214 0.2786 0.5000
Ni 0.9512 0.0488 0.5000
Sb 0.3872 0.6128 0.5000
Sb 0.6128 0.3872 0.5000

---

No. 10
SrPaNi2Sb2: calculated X-ray powder pattern (Cu Kα, 1.54184 Å), based on a crystal structure in Alexandria, relaxed with GGA-PBE.

The 10 most intense peaks (10° ≤ 2θ ≤ 90°), in order of falling intensity:
d_spacing  two_theta  intensity
2.832  31.6  100.0
2.150  42.0  46.9
8.721  10.1  41.7
1.712  53.5  22.6
1.340  70.3  20.0
2.291  39.3  19.8
1.531  60.5  18.6
3.425  26.0  15.2
1.354  69.4  10.7
2.180  41.4  9.4

Cell and atoms:
a = 4.3002 Å, b = 4.3002 Å, c = 8.7205 Å
α = 90.00°, β = 90.00°, γ = 120.00°
Positions (direct):
Sr 0.0000 0.0000 0.0000
Pa 0.0000 0.0000 0.5000
Ni 0.3333 0.6667 0.3212
Ni 0.6667 0.3333 0.6788
Sb 0.3333 0.6667 0.7405
Sb 0.6667 0.3333 0.2595

---

No. 11
ScPaNi10: calculated X-ray powder pattern (Cu Kα, 1.54184 Å), based on a crystal structure in Alexandria, relaxed with GGA-PBE.

The 10 most intense peaks (10° ≤ 2θ ≤ 90°), in order of falling intensity:
d_spacing  two_theta  intensity
2.050  44.2  100.0
2.874  31.1  66.2
1.995  45.5  51.4
8.268  10.7  51.1
2.055  44.1  50.4
2.074  43.6  33.2
2.390  37.6  29.2
1.162  83.1  22.2
1.307  72.3  21.7
1.532  60.4  21.5

Cell and atoms:
a = 3.9897 Å, b = 4.7962 Å, c = 8.2682 Å
α = 90.00°, β = 90.00°, γ = 90.00°
Positions (direct):
Sc 0.0000 0.0000 0.0000
Pa 0.0000 0.5000 0.5000
Ni 0.0000 0.0000 0.3313
Ni 0.0000 0.0000 0.6687
Ni 0.0000 0.5000 0.1664
Ni 0.0000 0.5000 0.8336
Ni 0.5000 0.0000 0.5000
Ni 0.5000 0.2505 0.2489
Ni 0.5000 0.2505 0.7511
Ni 0.5000 0.5000 0.0000
Ni 0.5000 0.7495 0.2489
Ni 0.5000 0.7495 0.7511

---

No. 12
ScPaNi14: calculated X-ray powder pattern (Cu Kα, 1.54184 Å), based on a crystal structure in Alexandria, relaxed with GGA-PBE.

The 10 most intense peaks (10° ≤ 2θ ≤ 90°), in order of falling intensity:
d_spacing  two_theta  intensity
2.109  42.9  100.0
1.846  49.4  33.2
1.110  88.0  22.9
1.285  73.7  17.3
4.218  21.1  14.6
1.789  51.0  14.1
5.221  17.0  11.4
1.305  72.4  9.9
2.952  30.3  6.3
2.220  40.6  5.7

Cell and atoms:
a = 5.2209 Å, b = 5.2209 Å, c = 7.1579 Å
α = 90.00°, β = 90.00°, γ = 90.00°
Positions (direct):
Sc 0.0000 0.0000 0.0000
Pa 0.5000 0.5000 0.0000
Ni 0.0000 0.0000 0.5000
Ni 0.0000 0.5000 0.0000
Ni 0.0000 0.5000 0.5000
Ni 0.2491 0.2491 0.2675
Ni 0.2491 0.2491 0.7325
Ni 0.2491 0.7509 0.2675
Ni 0.2491 0.7509 0.7325
Ni 0.5000 0.0000 0.0000
Ni 0.5000 0.0000 0.5000
Ni 0.5000 0.5000 0.5000
Ni 0.7509 0.2491 0.2675
Ni 0.7509 0.2491 0.7325
Ni 0.7509 0.7509 0.2675
Ni 0.7509 0.7509 0.7325